This entry pairs a crystal structure of PaMn2F11 with its theoretical powder XRD pattern. Radiation: a wavelength of 1.5418 Å. Structure: a crystal structure in Alexandria, relaxed with GGA+U.
Neutral-atom scattering factors, no anomalous dispersion.

Largest 10 diffraction maxima, in order of rising 2θ, 2θ from 10° to 90°:
2θ = 14.47°, intensity 100
2θ = 21.75°, intensity 81
2θ = 22.25°, intensity 75
2θ = 25.93°, intensity 24
2θ = 26.51°, intensity 46
2θ = 26.77°, intensity 24
2θ = 44.36°, intensity 27
2θ = 45.37°, intensity 31
2θ = 47.26°, intensity 28
2θ = 48.04°, intensity 28

Cell and atoms:
Cell: 8.0599 8.0599 8.7047 Å, 121.24 121.24 64.64°
Fractional coordinates of all 28 atoms:
Pa (0.2452, 0.7548, 0.7500)
Pa (0.7548, 0.2452, 0.2500)
Mn (0.1606, 0.3442, 0.8433)
Mn (0.3442, 0.1606, 0.3433)
Mn (0.6558, 0.8394, 0.6567)
Mn (0.8394, 0.6558, 0.1567)
F (0.0000, 0.5000, 0.0000)
F (0.0780, 0.7043, 0.4430)
F (0.0845, 0.1470, 0.3063)
F (0.1470, 0.0845, 0.8063)
F (0.1842, 0.5832, 0.8504)
F (0.2059, 0.3143, 0.2087)
F (0.2957, 0.9220, 0.0570)
F (0.3143, 0.2059, 0.7087)
F (0.3368, 0.4398, 0.5875)
F (0.4168, 0.8158, 0.6496)
F (0.4398, 0.3368, 0.0875)
F (0.5000, 0.0000, 0.5000)
F (0.5602, 0.6632, 0.9125)
F (0.5832, 0.1842, 0.3504)
F (0.6632, 0.5602, 0.4125)
F (0.6857, 0.7941, 0.2913)
F (0.7043, 0.0780, 0.9430)
F (0.7941, 0.6857, 0.7913)
F (0.8158, 0.4168, 0.1496)
F (0.8530, 0.9155, 0.1937)
F (0.9155, 0.8530, 0.6937)
F (0.9220, 0.2957, 0.5570)